# Ca3Cu2Cl2O4
Computed powder diffraction line list, λ = 1.5418 Å (Cu Kα). Input: a crystal structure in the Materials Project, relaxed with GGA-PBE.

Most intense lines, 2θ = 10–80°, sorted by position:
2θ (°)	d/Å	I_rel
23.31	3.817	9
32.66	2.742	50
33.06	2.709	8
37.16	2.420	100
46.86	1.939	37
61.27	1.513	41
68.44	1.371	10
69.76	1.348	7
77.91	1.226	7
79.17	1.210	10

Structural model:
abc: 11.1794 11.1794 11.1794
angles: 160.03 160.03 28.39
Element x y z (fractional)
Ca 0.0000 0.0000 0.0000
Ca 0.1471 0.1471 0.0000
Ca 0.8529 0.8529 0.0000
Cu 0.4291 0.4291 0.0000
Cu 0.5709 0.5709 0.0000
Cl 0.2985 0.2985 0.0000
Cl 0.7015 0.7015 0.0000
O 0.0749 0.5749 0.5000
O 0.4251 0.9251 0.5000
O 0.5749 0.0749 0.5000
O 0.9251 0.4251 0.5000


# BaH2C4O8
Computed powder diffraction line list, λ = 1.5418 Å (Cu Kα). Input: a crystal structure in the Materials Project, relaxed with GGA-PBE.

Most intense lines, 2θ = 10–80°, sorted by position:
2θ (°)	d/Å	I_rel
10.26	8.625	100
15.10	5.869	15
19.96	4.447	23
20.22	4.392	31
20.60	4.312	46
25.35	3.513	29
27.01	3.302	23
27.86	3.202	22
32.97	2.717	17
39.39	2.288	17

Structural model:
abc: 9.8782 9.8782 11.9906
angles: 115.12 115.12 27.74
Element x y z (fractional)
Ba 0.1417 0.8583 0.7500
Ba 0.8583 0.1417 0.2500
H 0.1293 0.1960 0.7856
H 0.1960 0.1293 0.2856
H 0.8040 0.8707 0.7144
H 0.8707 0.8040 0.2144
C 0.1348 0.2833 0.5813
C 0.2833 0.1348 0.0813
C 0.3537 0.5922 0.0057
C 0.4078 0.6463 0.4943
C 0.5922 0.3537 0.5057
C 0.6463 0.4078 0.9943
C 0.7167 0.8652 0.9187
C 0.8652 0.7167 0.4187
O 0.0185 0.6543 0.5101
O 0.1621 0.7125 0.9126
O 0.2278 0.2852 0.1716
O 0.2852 0.2278 0.6716
O 0.2875 0.8379 0.5874
O 0.3338 0.6055 0.1096
O 0.3457 0.9815 0.9899
O 0.3945 0.6662 0.3904
O 0.6055 0.3338 0.6096
O 0.6543 0.0185 0.0101
O 0.6662 0.3945 0.8904
O 0.7125 0.1621 0.4126
O 0.7148 0.7722 0.3284
O 0.7722 0.7148 0.8284
O 0.8379 0.2875 0.0874
O 0.9815 0.3457 0.4899


# Ni23B6
Computed powder diffraction line list, λ = 1.5418 Å (Cu Kα). Input: a crystal structure in the Materials Project, relaxed with GGA-PBE.

Most intense lines, 2θ = 10–80°, sorted by position:
2θ (°)	d/Å	I_rel
38.67	2.329	23
42.53	2.126	29
45.25	2.004	100
49.51	1.841	21
51.95	1.760	26
52.74	1.736	13
58.82	1.570	7
75.24	1.263	6
77.83	1.227	21
79.75	1.202	13

Structural model:
abc: 7.3637 7.3637 7.3637
angles: 60.00 60.00 60.00
Element x y z (fractional)
Ni 0.0000 0.0000 0.0000
Ni 0.0000 0.0000 0.3385
Ni 0.0000 0.0000 0.6615
Ni 0.0000 0.3385 0.0000
Ni 0.0000 0.3385 0.6615
Ni 0.0000 0.6615 0.0000
Ni 0.0000 0.6615 0.3385
Ni 0.1447 0.6184 0.6184
Ni 0.2500 0.2500 0.2500
Ni 0.3385 0.0000 0.0000
Ni 0.3385 0.0000 0.6615
Ni 0.3385 0.6615 0.0000
Ni 0.3816 0.3816 0.3816
Ni 0.3816 0.3816 0.8553
Ni 0.3816 0.8553 0.3816
Ni 0.6184 0.1447 0.6184
Ni 0.6184 0.6184 0.1447
Ni 0.6184 0.6184 0.6184
Ni 0.6615 0.0000 0.0000
Ni 0.6615 0.0000 0.3385
Ni 0.6615 0.3385 0.0000
Ni 0.7500 0.7500 0.7500
Ni 0.8553 0.3816 0.3816
B 0.2736 0.2736 0.7264
B 0.2736 0.7264 0.2736
B 0.2736 0.7264 0.7264
B 0.7264 0.2736 0.2736
B 0.7264 0.2736 0.7264
B 0.7264 0.7264 0.2736


Copy entry 3 word for word.
# Ni23B6
Computed powder diffraction line list, λ = 1.5418 Å (Cu Kα). Input: a crystal structure in the Materials Project, relaxed with GGA-PBE.

Most intense lines, 2θ = 10–80°, sorted by position:
2θ (°)	d/Å	I_rel
38.67	2.329	23
42.53	2.126	29
45.25	2.004	100
49.51	1.841	21
51.95	1.760	26
52.74	1.736	13
58.82	1.570	7
75.24	1.263	6
77.83	1.227	21
79.75	1.202	13

Structural model:
abc: 7.3637 7.3637 7.3637
angles: 60.00 60.00 60.00
Element x y z (fractional)
Ni 0.0000 0.0000 0.0000
Ni 0.0000 0.0000 0.3385
Ni 0.0000 0.0000 0.6615
Ni 0.0000 0.3385 0.0000
Ni 0.0000 0.3385 0.6615
Ni 0.0000 0.6615 0.0000
Ni 0.0000 0.6615 0.3385
Ni 0.1447 0.6184 0.6184
Ni 0.2500 0.2500 0.2500
Ni 0.3385 0.0000 0.0000
Ni 0.3385 0.0000 0.6615
Ni 0.3385 0.6615 0.0000
Ni 0.3816 0.3816 0.3816
Ni 0.3816 0.3816 0.8553
Ni 0.3816 0.8553 0.3816
Ni 0.6184 0.1447 0.6184
Ni 0.6184 0.6184 0.1447
Ni 0.6184 0.6184 0.6184
Ni 0.6615 0.0000 0.0000
Ni 0.6615 0.0000 0.3385
Ni 0.6615 0.3385 0.0000
Ni 0.7500 0.7500 0.7500
Ni 0.8553 0.3816 0.3816
B 0.2736 0.2736 0.7264
B 0.2736 0.7264 0.2736
B 0.2736 0.7264 0.7264
B 0.7264 0.2736 0.2736
B 0.7264 0.2736 0.7264
B 0.7264 0.7264 0.2736